(1)
This entry pairs a crystal structure of Dy5Tl2Te with its theoretical X-ray diffraction stick pattern. Radiation: copper Kα. Structure: DFT lattice parameters and positions (GGA-PBE).

Principal peaks in the range 2θ = 10–90°, sorted by position:
2θ = 29.80°, d 2.998, I = 96, hkl 2 1 1
2θ = 30.92°, d 2.892, I = 47, hkl 1 4 0
2θ = 31.21°, d 2.866, I = 51, hkl 1 3 1
2θ = 32.41°, d 2.763, I = 100, hkl 2 2 1
2θ = 35.17°, d 2.552, I = 61, hkl 0 4 1
2θ = 39.64°, d 2.274, I = 48, hkl 0 0 2

Structural model:
Unit cell a=8.4290 b=12.3139 c=4.5478 alpha=90.00 beta=90.00 gamma=90.00
Space group Pbam (No. 55)
Asymmetric unit:
Dy1 0.0000 0.0000 0.0000 [2 per cell]
Dy2 0.1614 0.2816 0.0000 [4 per cell]
Dy3 0.2112 0.5756 0.5000 [4 per cell]
Tl1 0.0735 0.8235 0.5000 [4 per cell]
Te1 0.0000 0.5000 0.0000 [2 per cell]

---

(2)
This entry pairs a crystal structure of DyTlTe with its theoretical X-ray diffraction stick pattern. Radiation: copper Kα. Structure: DFT lattice parameters and positions (GGA-PBE).

Principal peaks in the range 2θ = 10–90°, sorted by position:
2θ = 29.02°, d 3.076, I = 100, hkl 1 0 7
2θ = 38.38°, d 2.345, I = 50, hkl 1 1 0
2θ = 44.46°, d 2.038, I = 28, hkl 0 1 14
2θ = 48.83°, d 1.865, I = 24, hkl 0 2 7
2θ = 63.76°, d 1.460, I = 22, hkl 2 1 7
2θ = 73.65°, d 1.286, I = 12, hkl 1 2 14

Structural model:
Unit cell a=4.6903 b=4.6903 c=32.9811 alpha=90.00 beta=90.00 gamma=120.00
Space group R-3m (No. 166, hexagonal axes)
Asymmetric unit:
Dy1 0.0000 0.0000 0.0714 [6 per cell]
Tl1 0.0000 0.0000 0.3515 [6 per cell]
Te1 0.0000 0.0000 0.2205 [6 per cell]

---

(3)
This entry pairs a crystal structure of Dy10Tl3Te3 with its theoretical X-ray diffraction stick pattern. Radiation: copper Kα. Structure: DFT lattice parameters and positions (GGA-PBE).

Principal peaks in the range 2θ = 10–90°, sorted by position:
2θ = 27.78°, d 3.211, I = 20, hkl 0 0 2
2θ = 30.32°, d 2.948, I = 29, hkl 2 1 0
2θ = 33.44°, d 2.679, I = 100, hkl 2 1 1
2θ = 34.30°, d 2.615, I = 76, hkl 1 1 2
2θ = 34.49°, d 2.600, I = 44, hkl 3 0 0
2θ = 52.85°, d 1.732, I = 28, hkl 2 1 3

Structural model:
Unit cell a=9.0073 b=9.0073 c=6.4224 alpha=90.00 beta=90.00 gamma=120.00
Space group P-62m (No. 189)
Asymmetric unit:
Dy1 0.0000 0.2379 0.0000 [3 per cell]
Dy2 0.0000 0.7577 0.5000 [3 per cell]
Dy3 0.3333 0.6667 0.2495 [4 per cell]
Tl1 0.0000 0.6080 0.0000 [3 per cell]
Te1 0.0000 0.3879 0.5000 [3 per cell]

---

(4)
This entry pairs a crystal structure of Dy5TlTe2 with its theoretical X-ray diffraction stick pattern. Radiation: copper Kα. Structure: DFT lattice parameters and positions (GGA-PBE).

Principal peaks in the range 2θ = 10–90°, sorted by position:
2θ = 24.43°, d 3.643, I = 19, hkl 0 2 3
2θ = 29.53°, d 3.025, I = 67, hkl 2 0 0
2θ = 31.12°, d 2.874, I = 43, hkl 1 1 4
2θ = 32.98°, d 2.716, I = 100, hkl 1 3 3
2θ = 50.43°, d 1.810, I = 17, hkl 2 0 6
2θ = 54.61°, d 1.680, I = 25, hkl 3 3 3

Structural model:
Unit cell a=6.0496 b=12.3299 c=13.5496 alpha=90.00 beta=90.00 gamma=90.00
Space group Cmcm (No. 63)
Asymmetric unit:
Dy1 0.0000 0.0597 0.1115 [8 per cell]
Dy2 0.0000 0.3818 0.0534 [8 per cell]
Dy3 0.0000 0.3817 0.7500 [4 per cell]
Tl1 0.0000 0.2656 0.2500 [4 per cell]
Te1 0.0000 0.1883 0.5925 [8 per cell]

---

(5)
This entry pairs a crystal structure of Dy3TmTl3Te8 with its theoretical X-ray diffraction stick pattern. Radiation: copper Kα. Structure: DFT lattice parameters and positions (GGA-PBE).

Principal peaks in the range 2θ = 10–90°, sorted by position:
2θ = 27.61°, d 3.230, I = 100, hkl 4 0 0
2θ = 37.65°, d 2.389, I = 39, hkl 2 2 2
2θ = 41.18°, d 2.192, I = 36, hkl 0 4 0
2θ = 50.30°, d 1.814, I = 19, hkl 4 4 0
2θ = 57.02°, d 1.615, I = 12, hkl 8 0 0
2θ = 66.96°, d 1.397, I = 16, hkl 10 2 -2

Structural model:
Unit cell a=15.2004 b=8.7601 c=9.6404 alpha=90.00 beta=121.76 gamma=90.00
Space group C2/m (No. 12)
Asymmetric unit:
Dy1 0.0000 0.0000 0.0000 [2 per cell]
Dy2 0.2500 0.2500 0.0000 [4 per cell]
Tm1 0.0000 0.5000 0.0000 [2 per cell]
Tl1 0.0000 0.5000 0.5000 [2 per cell]
Tl2 0.2500 0.2500 0.5000 [4 per cell]
Te1 0.0118 0.2510 0.7864 [8 per cell]
Te2 0.2372 0.5000 0.2136 [4 per cell]
Te3 0.2386 0.0000 0.2159 [4 per cell]

---

(6)
This entry pairs a crystal structure of DyY3Tl4Te8 with its theoretical X-ray diffraction stick pattern. Radiation: copper Kα. Structure: DFT lattice parameters and positions (GGA-PBE).

Principal peaks in the range 2θ = 10–90°, sorted by position:
2θ = 27.31°, d 3.266, I = 100, hkl 0 2 4
2θ = 37.46°, d 2.401, I = 38, hkl 2 0 8
2θ = 40.50°, d 2.227, I = 36, hkl 2 2 0
2θ = 49.54°, d 1.840, I = 19, hkl 4 0 4
2θ = 61.56°, d 1.506, I = 14, hkl 2 2 12
2θ = 65.84°, d 1.418, I = 17, hkl 2 4 4

Structural model:
Unit cell a=8.9083 b=8.9083 c=24.5432 alpha=90.00 beta=90.00 gamma=120.00
Space group R-3m (No. 166, hexagonal axes)
Asymmetric unit:
Dy1 0.0000 0.0000 0.0000 [3 per cell]
Y1 0.0000 0.5000 0.0000 [9 per cell]
Tl1 0.0000 0.0000 0.5000 [3 per cell]
Tl2 0.0000 0.5000 0.5000 [9 per cell]
Te1 0.0000 0.0000 0.2621 [6 per cell]
Te2 0.9996 0.4998 0.2621 [18 per cell]

---

(7)
This entry pairs a crystal structure of Dy3ZrTl3Te8 with its theoretical X-ray diffraction stick pattern. Radiation: copper Kα. Structure: DFT lattice parameters and positions (GGA-PBE).

Principal peaks in the range 2θ = 10–90°, sorted by position:
2θ = 27.67°, d 3.224, I = 100, hkl 0 2 4
2θ = 37.47°, d 2.400, I = 39, hkl 2 0 8
2θ = 41.51°, d 2.175, I = 35, hkl 2 2 0
2θ = 50.62°, d 1.803, I = 19, hkl 4 0 4
2θ = 61.78°, d 1.502, I = 13, hkl 2 2 12
2θ = 67.47°, d 1.388, I = 16, hkl 2 4 4

Structural model:
Unit cell a=8.7014 b=8.7014 c=24.9047 alpha=90.00 beta=90.00 gamma=120.00
Space group R-3m (No. 166, hexagonal axes)
Asymmetric unit:
Dy1 0.0000 0.5000 0.0000 [9 per cell]
Zr1 0.0000 0.0000 0.0000 [3 per cell]
Tl1 0.0000 0.5000 0.5000 [9 per cell]
Te1 0.0000 0.0000 0.2618 [6 per cell]
Te2 0.0130 0.5065 0.7360 [18 per cell]

---

(8)
This entry pairs a crystal structure of DyTm6Te8 with its theoretical X-ray diffraction stick pattern. Radiation: copper Kα. Structure: DFT lattice parameters and positions (GGA-PBE).

Principal peaks in the range 2θ = 10–90°, sorted by position:
2θ = 29.46°, d 3.032, I = 100, hkl 4 0 0
2θ = 42.15°, d 2.144, I = 75, hkl 4 4 0
2θ = 52.26°, d 1.750, I = 27, hkl 4 4 4
2θ = 61.14°, d 1.516, I = 12, hkl 8 0 0
2θ = 69.31°, d 1.356, I = 34, hkl 8 4 0
2θ = 77.05°, d 1.238, I = 25, hkl 8 4 4

Structural model:
Unit cell a=12.1268 b=12.1268 c=12.1268 alpha=90.00 beta=90.00 gamma=90.00
Space group Fm-3m (No. 225)
Asymmetric unit:
Dy1 0.0000 0.0000 0.0000 [4 per cell]
Tm1 0.0000 0.2500 0.2500 [24 per cell]
Te1 0.0000 0.0000 0.2576 [24 per cell]
Te2 0.2500 0.2500 0.2500 [8 per cell]

---

(9)
This entry pairs a crystal structure of DyTm2Te4 with its theoretical X-ray diffraction stick pattern. Radiation: copper Kα. Structure: DFT lattice parameters and positions (GGA-PBE).

Principal peaks in the range 2θ = 10–90°, sorted by position:
2θ = 21.96°, d 4.048, I = 69, hkl 0 2 3
2θ = 27.18°, d 3.281, I = 56, hkl 0 2 4
2θ = 29.03°, d 3.075, I = 74, hkl 1 3 1
2θ = 30.90°, d 2.894, I = 100, hkl 1 3 2
2θ = 37.67°, d 2.388, I = 52, hkl 1 1 5
2θ = 42.94°, d 2.106, I = 54, hkl 2 0 0

Structural model:
Unit cell a=4.2124 b=14.1715 c=14.8076 alpha=90.00 beta=90.00 gamma=90.00
Space group Cmcm (No. 63)
Asymmetric unit:
Dy1 0.0000 0.1284 0.2500 [4 per cell]
Tm1 0.0000 0.3688 0.0695 [8 per cell]
Te1 0.0000 0.0000 0.0000 [4 per cell]
Te2 0.0000 0.2778 0.6209 [8 per cell]
Te3 0.0000 0.4676 0.2500 [4 per cell]

---

(10)
This entry pairs a crystal structure of DyTmTe with its theoretical X-ray diffraction stick pattern. Radiation: copper Kα. Structure: DFT lattice parameters and positions (GGA-PBE).

Principal peaks in the range 2θ = 10–90°, sorted by position:
2θ = 33.04°, d 2.711, I = 100, hkl 1 1 0
2θ = 47.42°, d 1.917, I = 18, hkl 2 0 0
2θ = 59.00°, d 1.565, I = 37, hkl 2 1 3
2θ = 69.31°, d 1.356, I = 11, hkl 2 2 0
2θ = 78.91°, d 1.213, I = 11, hkl 3 1 0
2θ = 79.04°, d 1.212, I = 4, hkl 1 0 9

Structural model:
Unit cell a=3.8366 b=3.8366 c=11.4917 alpha=90.00 beta=90.00 gamma=90.00
Space group I4mm (No. 107)
Asymmetric unit:
Dy1 0.0000 0.0000 0.0000 [2 per cell]
Tm1 0.0000 0.0000 0.3137 [2 per cell]
Te1 0.0000 0.0000 0.6603 [2 per cell]

---

(11)
This entry pairs a crystal structure of Dy2Tm4Te9 with its theoretical X-ray diffraction stick pattern. Radiation: copper Kα. Structure: DFT lattice parameters and positions (GGA-PBE).

Principal peaks in the range 2θ = 10–90°, sorted by position:
2θ = 15.87°, d 5.586, I = 35, hkl 1 0 2
2θ = 21.68°, d 4.100, I = 27, hkl 0 1 4
2θ = 26.64°, d 3.346, I = 84, hkl 1 1 3
2θ = 34.87°, d 2.573, I = 100, hkl 1 1 6
2θ = 40.98°, d 2.202, I = 62, hkl 3 0 0
2θ = 54.87°, d 1.673, I = 27, hkl 2 2 6

Structural model:
Unit cell a=7.6294 b=7.6294 c=20.9122 alpha=90.00 beta=90.00 gamma=120.00
Space group P-3c1 (No. 165)
Asymmetric unit:
Dy1 0.0000 0.0000 0.1570 [4 per cell]
Tm1 0.3333 0.6667 0.1755 [4 per cell]
Tm2 0.3333 0.6667 0.4911 [4 per cell]
Te1 0.0000 0.3177 0.2500 [6 per cell]
Te2 0.0184 0.3550 0.5831 [12 per cell]

---

(12)
This entry pairs a crystal structure of Dy4TmTe5 with its theoretical X-ray diffraction stick pattern. Radiation: copper Kα. Structure: DFT lattice parameters and positions (GGA-PBE).

Principal peaks in the range 2θ = 10–90°, sorted by position:
2θ = 27.94°, d 3.193, I = 43, hkl 0 0 10
2θ = 29.58°, d 3.020, I = 100, hkl 1 1 0
2θ = 41.14°, d 2.194, I = 60, hkl 1 1 10
2θ = 42.32°, d 2.136, I = 38, hkl 2 0 0
2θ = 51.48°, d 1.775, I = 32, hkl 2 0 10
2θ = 76.60°, d 1.244, I = 19, hkl 3 1 10

Structural model:
Unit cell a=4.2711 b=4.2711 c=31.9282 alpha=90.00 beta=90.00 gamma=90.00
Space group I4/mmm (No. 139)
Asymmetric unit:
Dy1 0.0000 0.0000 0.1101 [4 per cell]
Dy2 0.0000 0.0000 0.3122 [4 per cell]
Tm1 0.0000 0.0000 0.5000 [2 per cell]
Te1 0.0000 0.0000 0.0000 [2 per cell]
Te2 0.0000 0.0000 0.2078 [4 per cell]
Te3 0.0000 0.0000 0.4069 [4 per cell]